No. 1
Starting from a PBE-relaxed structure, the X-ray powder pattern of Tl2GeSb was calculated for λ = 1.5418 Å (Cu Kα).
Lines closer than 0.1° are merged.

Crystal structure
abc: 7.948 7.948 7.948
angles: 130.69 130.69 72.30
Positions (direct):
1 Tl 0.099 0.625 0.974
2 Tl 0.375 0.349 0.474
3 Tl 0.651 0.125 0.026
4 Tl 0.875 0.901 0.526
5 Ge 0.000 0.000 0.000
6 Ge 0.750 0.250 0.500
7 Sb 0.250 0.750 0.500
8 Sb 0.500 0.500 0.000

Principal peaks in the range 10 to 90 degrees two-theta, in order of falling intensity:
23.5°, intensity 1000; 39.1°, intensity 477; 45.5°, intensity 324; 38.4°, intensity 241; 46.7°, intensity 164; 69.9°, intensity 151; 62.0°, intensity 130; 71.2°, intensity 79; 55.4°, intensity 78; 26.9°, intensity 67

=====

No. 2
Starting from a PBE-relaxed structure, the X-ray powder pattern of DyZnInGa was calculated for λ = 1.5418 Å (Cu Kα).
Lines closer than 0.1° are merged.

Crystal structure
abc: 4.938 4.938 4.938
angles: 60.00 60.00 60.00
Positions (direct):
1 Dy 0.000 0.000 0.000
2 Zn 0.750 0.750 0.750
3 In 0.500 0.500 0.500
4 Ga 0.250 0.250 0.250

Principal peaks in the range 10 to 90 degrees two-theta, in order of falling intensity:
36.4°, intensity 1000; 65.5°, intensity 347; 52.4°, intensity 173; 88.6°, intensity 155; 25.5°, intensity 122; 77.3°, intensity 107; 59.2°, intensity 49; 45.0°, intensity 36; 83.0°, intensity 25; 22.0°, intensity 24